1.
Starting from a GGA-PBE-relaxed structure, the X-ray powder pattern of CeSe2 was computed for CuKα.
Kinematic intensities with the Lorentz-polarization factor, no thermal factor.

Main lines, most intense first (2θ = 5–70°):
- 2θ 10.67, intensity 100
- 2θ 18.18, intensity 84
- 2θ 12.88, intensity 66
- 2θ 19.22, intensity 56
- 2θ 12.35, intensity 42
- 2θ 22.98, intensity 30
- 2θ 38.64, intensity 28
- 2θ 32.68, intensity 27

Atomic structure:
```
24
Lattice="7.865 -5.085 0.000 7.865 5.085 0.000 -7.820 0.000 17.371" Properties=species:S:1:pos:R:3 pbc="T T T"
Ce -0.671 3.414 15.308
Ce 0.734 0.871 6.623
Ce 4.671 3.414 10.748
Ce -3.176 -0.871 15.308
Ce 11.086 0.871 2.062
Ce 3.239 -3.414 6.623
Ce 7.176 -0.871 10.747
Ce 8.581 -3.414 2.062
Se 0.000 0.000 0.000
Se -3.910 0.000 8.685
Se 0.023 2.543 8.685
Se 1.989 3.817 11.797
Se 2.179 1.265 4.336
Se 2.011 3.817 14.258
Se -1.919 1.266 16.449
Se -1.731 -1.265 13.022
Se 1.991 -1.266 7.763
Se 3.932 -2.543 0.000
Se 5.919 1.266 9.607
Se 9.641 1.265 4.349
Se 9.829 -1.266 0.922
Se 5.899 -3.817 3.112
Se 5.731 -1.265 13.034
Se 5.921 -3.817 5.573
```


2.
Starting from a GGA-PBE-relaxed structure, the X-ray powder pattern of Lu6Ni2Sn was computed for CuKα.
Kinematic intensities with the Lorentz-polarization factor, no thermal factor.

Main lines, most intense first (2θ = 5–70°):
- 2θ 32.73, intensity 100
- 2θ 35.22, intensity 52
- 2θ 34.78, intensity 37
- 2θ 35.89, intensity 35
- 2θ 30.89, intensity 29
- 2θ 61.68, intensity 27
- 2θ 57.60, intensity 26
- 2θ 36.30, intensity 22

Atomic structure:
```
18
Lattice="-4.564 4.706 4.973 4.564 -4.706 4.973 4.564 4.706 -4.973" Properties=species:S:1:pos:R:3 pbc="T T T"
Lu 4.564 2.762 -2.642
Lu 2.661 1.722 0.000
Lu 6.466 1.722 0.000
Lu 1.750 4.706 -1.733
Lu 2.814 0.000 3.241
Lu 0.000 1.944 2.331
Lu 4.564 2.762 2.642
Lu 1.750 4.706 1.733
Lu 2.814 0.000 6.706
Lu -1.903 2.984 4.973
Lu 1.903 2.984 4.973
Lu 0.000 1.944 7.616
Ni 4.564 0.000 1.239
Ni 0.000 3.285 0.000
Ni 0.000 6.127 0.000
Ni 0.000 4.706 3.735
Sn 0.000 0.000 0.000
Sn 0.000 0.000 4.973
```


3.
Starting from a GGA-PBE-relaxed structure, the X-ray powder pattern of Na2GeTeO6 was computed for CuKα.
Kinematic intensities with the Lorentz-polarization factor, no thermal factor.

Main lines, most intense first (2θ = 5–70°):
- 2θ 16.43, intensity 100
- 2θ 48.72, intensity 70
- 2θ 22.65, intensity 60
- 2θ 34.62, intensity 56
- 2θ 29.72, intensity 54
- 2θ 38.54, intensity 52
- 2θ 20.53, intensity 49
- 2θ 62.89, intensity 23

Atomic structure:
```
10
Lattice="2.591 1.496 5.397 -2.591 1.496 5.397 0.000 -2.992 5.397" Properties=species:S:1:pos:R:3 pbc="T T T"
Na 0.000 0.000 0.000
Na 0.000 0.000 4.566
Ge 0.000 0.000 7.748
Te 0.000 0.000 13.010
O -0.960 -1.244 6.569
O -1.606 -0.242 8.778
O -0.598 1.453 6.569
O 1.012 -1.270 8.778
O 1.557 -0.209 6.569
O 0.594 1.512 8.778
```